Diffraction record for AlH12O5F5. The powder diffractogram is computed, not measured: it uses a crystal structure in Alexandria, relaxed with GGA-PBE and Cu Kα (weighted mean of Kα1 and Kα2).
No peak broadening, texture or thermal motion is included.

Crystal structure
```
AlH12O5F5
1.0
7.9036 0.0000 0.0000
0.0000 3.7329 0.0000
-4.0269 0.0000 13.1473
Al H O F
2 24 10 10
Direct
0.0000 0.0197 0.0000
0.0000 0.9803 0.5000
0.1578 0.2008 0.7240
0.1578 0.7992 0.2240
0.1611 0.2251 0.8431
0.1611 0.7749 0.3431
0.3366 0.2327 0.1473
0.3366 0.7673 0.6473
0.3925 0.1732 0.4807
0.3925 0.8268 0.9807
0.4762 0.4780 0.1044
0.4762 0.5220 0.6044
0.4945 0.4872 0.2388
0.4945 0.5128 0.7388
0.5173 0.4671 0.8866
0.5173 0.5329 0.3866
0.6063 0.1787 0.5212
0.6063 0.8213 0.0212
0.6565 0.2350 0.8475
0.6565 0.7650 0.3475
0.8389 0.2219 0.1576
0.8389 0.7781 0.6576
0.8429 0.2005 0.2775
0.8429 0.7995 0.7775
0.9975 0.4996 0.2497
0.9975 0.5004 0.7497
0.1440 0.3653 0.7785
0.1440 0.6347 0.2785
0.4596 0.3383 0.1647
0.4596 0.6617 0.6647
0.4984 0.3305 0.5026
0.4984 0.6695 0.0026
0.5346 0.3377 0.8269
0.5346 0.6623 0.3269
0.8539 0.3643 0.2218
0.8539 0.6357 0.7218
0.0011 0.4782 0.5008
0.0011 0.5218 0.0008
0.1595 0.0296 0.1267
0.1595 0.9704 0.6267
0.1858 0.0216 0.9462
0.1858 0.9784 0.4462
0.8162 0.0189 0.0552
0.8162 0.9811 0.5552
0.8436 0.0272 0.8736
0.8436 0.9728 0.3736
```

Principal peaks in the range 15° ≤ 2θ ≤ 90°, in order of rising 2θ:
2θ = 15.05°, rel. 74; 2θ = 26.63°, rel. 70; 2θ = 27.48°, rel. 71; 2θ = 31.47°, rel. 100; 2θ = 35.68°, rel. 91; 2θ = 54.21°, rel. 49

Diffraction record for Sm2Ho6ErSc. The powder diffractogram is computed, not measured: it uses a crystal structure in Alexandria, relaxed with GGA-PBE and Cu Kα (weighted mean of Kα1 and Kα2).
No peak broadening, texture or thermal motion is included.

Crystal structure
```
Sm2Ho6ErSc
1.0
4.4825 -7.3865 0.0000
4.4825 7.3865 0.0000
-1.4249 0.0000 9.4026
Sm Ho Er Sc
4 12 2 2
Direct
0.1981 0.2996 0.0453
0.2996 0.1981 0.5453
0.7004 0.8019 0.4547
0.8019 0.7004 0.9547
0.0108 0.5707 0.1905
0.1266 0.7475 0.5569
0.2525 0.8734 0.9431
0.2937 0.5035 0.3829
0.4293 0.9892 0.3095
0.4965 0.7063 0.1171
0.5035 0.2937 0.8829
0.5707 0.0108 0.6905
0.7063 0.4965 0.6171
0.7475 0.1266 0.0569
0.8734 0.2525 0.4431
0.9892 0.4293 0.8095
0.0187 0.9813 0.2500
0.9813 0.0187 0.7500
0.4104 0.5896 0.7500
0.5896 0.4104 0.2500
```

Principal peaks in the range 15° ≤ 2θ ≤ 90°, in order of rising 2θ:
2θ = 29.13°, rel. 40; 2θ = 30.96°, rel. 94; 2θ = 31.93°, rel. 43; 2θ = 32.11°, rel. 100; 2θ = 34.14°, rel. 41; 2θ = 61.70°, rel. 21

Diffraction record for Cs4K5Rb4. The powder diffractogram is computed, not measured: it uses a crystal structure in Alexandria, relaxed with GGA-PBE and Cu Kα (weighted mean of Kα1 and Kα2).
No peak broadening, texture or thermal motion is included.

Crystal structure
```
Cs4K5Rb4
1.0
-9.0878 9.0878 3.5516
9.0878 -9.0878 3.5516
9.0878 9.0878 -3.5516
Cs K Rb
4 5 4
Direct
0.1483 0.7743 0.9225
0.2257 0.1483 0.3740
0.7743 0.8517 0.6260
0.8517 0.2257 0.0775
0.0000 0.0000 0.0000
0.3162 0.5359 0.8521
0.4641 0.3162 0.7803
0.5359 0.6838 0.2197
0.6838 0.4641 0.1479
0.0782 0.3871 0.4653
0.3871 0.9218 0.3088
0.6129 0.0782 0.6912
0.9218 0.6129 0.5347
```

Principal peaks in the range 15° ≤ 2θ ≤ 90°, in order of rising 2θ:
2θ = 21.62°, rel. 100; 2θ = 25.01°, rel. 52; 2θ = 35.66°, rel. 40; 2θ = 42.05°, rel. 33; 2θ = 42.17°, rel. 17; 2θ = 56.32°, rel. 20